Record 1
# PrThTlC
Simulated powder diffractogram, CuKα. Input: a structure optimized by DFT (GGA-PBE).
Lines closer than 0.1° are merged.

a = 6.480 Å, b = 3.739 Å, c = 8.765 Å
α = 90.00°, β = 104.33°, γ = 90.00°
Atoms (fractional coordinates):
Pr1 0.000 0.000 0.000
Pr2 0.500 0.500 0.000
Th1 0.220 0.000 0.662
Th2 0.720 0.500 0.662
Tl1 0.276 0.500 0.328
Tl2 0.776 0.000 0.328
C1 0.104 0.500 0.814
C2 0.604 0.000 0.814

The 12 most intense peaks (2θ = 10–90°), by intensity:
- d 2.887, I = 100.0
- d 2.733, I = 93.6
- d 1.560, I = 48.3
- d 2.831, I = 46.4
- d 1.870, I = 45.7
- d 3.139, I = 38.0
- d 3.213, I = 27.1
- d 1.677, I = 22.2
- d 2.420, I = 19.2
- d 1.129, I = 18.3
- d 1.587, I = 16.9
- d 1.570, I = 16.8

Record 2
# Sr2As4Ir5
Simulated powder diffractogram, CuKα. Input: a structure optimized by DFT (GGA-PBE).
Lines closer than 0.1° are merged.

a = 9.097 Å, b = 8.024 Å, c = 5.858 Å
α = 80.23°, β = 60.37°, γ = 39.40°
Atoms (fractional coordinates):
Sr1 0.128 0.128 0.872
Sr2 0.872 0.872 0.128
As1 0.209 0.538 0.462
As2 0.462 0.791 0.209
As3 0.538 0.209 0.791
As4 0.791 0.462 0.538
Ir1 0.000 0.000 0.500
Ir2 0.250 0.250 0.250
Ir3 0.500 0.500 0.000
Ir4 0.500 0.500 0.500
Ir5 0.750 0.750 0.750

The 12 most intense peaks (2θ = 10–90°), by intensity:
- d 2.066, I = 100.0
- d 2.474, I = 94.7
- d 5.133, I = 89.9
- d 2.257, I = 85.0
- d 2.527, I = 62.8
- d 3.031, I = 61.1
- d 2.567, I = 58.4
- d 2.119, I = 56.3
- d 1.878, I = 45.0
- d 1.496, I = 40.5
- d 1.463, I = 40.2
- d 1.154, I = 39.1